[1]
Starting from DFT lattice parameters and positions (GGA-PBE), the powder diffractogram of Na3HgS8 was calculated for Cu Kα (weighted mean of Kα1 and Kα2).

Largest 6 diffraction maxima, low angle first, 2θ from 10° to 90°:
two_theta, d_spacing, I/Imax
13.72, 6.456, 100
15.65, 5.662, 73
24.62, 3.616, 60
27.60, 3.231, 82
33.88, 2.646, 44
40.72, 2.216, 56

Structure:
Unit cell a=7.313 b=7.313 c=6.731 alpha=114.05 beta=114.05 gamma=92.72
Element x y z (fractional)
Na 0.000 0.000 0.000
Na 0.290 0.795 0.597
Na 0.795 0.290 0.597
Hg 0.557 0.557 0.143
S 0.011 0.436 0.139
S 0.075 0.075 0.461
S 0.164 0.591 0.040
S 0.436 0.011 0.139
S 0.466 0.466 0.681
S 0.591 0.164 0.040
S 0.647 0.647 0.633
S 0.892 0.892 0.503

=====

[2]
Starting from DFT lattice parameters and positions (GGA-PBE), the powder diffractogram of KCd6Hg8 was calculated for Cu Kα (weighted mean of Kα1 and Kα2).

Largest 6 diffraction maxima, low angle first, 2θ from 10° to 90°:
two_theta, d_spacing, I/Imax
25.25, 3.527, 46
31.26, 2.862, 81
33.15, 2.702, 89
37.26, 2.413, 87
38.68, 2.328, 100
42.13, 2.145, 44

Structure:
Unit cell a=7.616 b=7.616 c=7.616 alpha=75.84 beta=75.84 gamma=75.84
Element x y z (fractional)
K 0.000 0.000 0.000
Cd 0.178 0.573 0.371
Cd 0.371 0.178 0.573
Cd 0.427 0.629 0.822
Cd 0.573 0.371 0.178
Cd 0.629 0.822 0.427
Cd 0.822 0.427 0.629
Hg 0.125 0.442 0.817
Hg 0.183 0.875 0.558
Hg 0.215 0.215 0.215
Hg 0.442 0.817 0.125
Hg 0.558 0.183 0.875
Hg 0.785 0.785 0.785
Hg 0.817 0.125 0.442
Hg 0.875 0.558 0.183

=====

[3]
Starting from DFT lattice parameters and positions (GGA-PBE), the powder diffractogram of Tb2NpCuTe5 was calculated for Cu Kα (weighted mean of Kα1 and Kα2).

Largest 6 diffraction maxima, low angle first, 2θ from 10° to 90°:
two_theta, d_spacing, I/Imax
29.07, 3.072, 43
29.95, 2.984, 100
34.62, 2.591, 73
41.98, 2.152, 15
42.61, 2.122, 28
52.41, 1.746, 18

Structure:
Unit cell a=9.722 b=9.722 c=12.908 alpha=90.00 beta=90.00 gamma=154.79
Element x y z (fractional)
Tb 0.108 0.892 0.500
Tb 0.123 0.877 0.122
Tb 0.877 0.123 0.622
Tb 0.892 0.108 0.000
Np 0.194 0.806 0.826
Np 0.806 0.194 0.326
Cu 0.429 0.571 0.277
Cu 0.571 0.429 0.777
Te 0.042 0.958 0.884
Te 0.289 0.711 0.495
Te 0.317 0.683 0.154
Te 0.360 0.640 0.817
Te 0.499 0.501 0.603
Te 0.501 0.499 0.103
Te 0.640 0.360 0.317
Te 0.683 0.317 0.654
Te 0.711 0.289 0.995
Te 0.958 0.042 0.384

=====

[4]
Starting from DFT lattice parameters and positions (GGA-PBE), the powder diffractogram of La2Sm3Tm7 was calculated for Cu Kα (weighted mean of Kα1 and Kα2).

Largest 6 diffraction maxima, low angle first, 2θ from 10° to 90°:
two_theta, d_spacing, I/Imax
30.14, 2.965, 53
31.07, 2.878, 24
31.47, 2.843, 57
31.63, 2.829, 100
33.70, 2.660, 35
34.33, 2.612, 21

Structure:
Unit cell a=19.328 b=19.328 c=3.605 alpha=90.00 beta=90.00 gamma=163.08
Element x y z (fractional)
La 0.146 0.854 0.000
La 0.854 0.146 0.000
Sm 0.312 0.688 0.500
Sm 0.500 0.500 0.500
Sm 0.688 0.312 0.500
Tm 0.000 0.000 0.000
Tm 0.070 0.930 0.500
Tm 0.230 0.770 0.000
Tm 0.412 0.588 0.000
Tm 0.588 0.412 0.000
Tm 0.770 0.230 0.000
Tm 0.930 0.070 0.500